No. 1
Structure and calculated powder diffractogram of NdSm8Tm3 (a cell relaxed with GGA-PBE; Cu Kα (weighted mean of Kα1 and Kα2)).

Crystal structure
```
data_NdSm8Tm3
_chemical_formula_sum 'Nd1 Sm8 Tm3'
_cell_length_a 3.5850
_cell_length_b 8.8633
_cell_length_c 13.0708
_cell_angle_alpha 78.92
_cell_angle_beta 82.16
_cell_angle_gamma 78.33
_symmetry_space_group_name_H-M 'P 1'
_symmetry_Int_Tables_number 1
loop_
_symmetry_equiv_pos_as_xyz
'x,y,z'
loop_
_atom_site_label
_atom_site_fract_x
_atom_site_fract_y
_atom_site_fract_z
Nd1 0.0000 0.0000 0.0000
Sm1 0.0664 0.3088 0.5622
Sm2 0.2941 0.3456 0.0675
Sm3 0.3799 0.9873 0.2548
Sm4 0.4598 0.2811 0.8032
Sm5 0.5973 0.6678 0.1369
Sm6 0.6825 0.3218 0.3145
Sm7 0.7546 0.6287 0.8671
Sm8 0.7642 0.9723 0.5031
Tm1 0.1561 0.9566 0.7367
Tm2 0.3748 0.6348 0.6192
Tm3 0.9887 0.6484 0.3759
```

Peak list (8 most intense, 10 to 90 degrees two-theta, sorted by position)
30.39 deg, I = 85; 31.38 deg, I = 100; 31.55 deg, I = 81; 32.03 deg, I = 67; 32.19 deg, I = 79; 32.94 deg, I = 60; 52.62 deg, I = 28; 61.08 deg, I = 51


No. 2
Structure and calculated powder diffractogram of DyTm2ScTl4 (a cell relaxed with GGA-PBE; Cu Kα (weighted mean of Kα1 and Kα2)).

Crystal structure
```
data_DyTm2ScTl4
_chemical_formula_sum 'Dy3 Tm6 Sc3 Tl12'
_cell_length_a 5.2711
_cell_length_b 5.2711
_cell_length_c 25.9361
_cell_angle_alpha 90.00
_cell_angle_beta 90.00
_cell_angle_gamma 120.00
_symmetry_space_group_name_H-M 'R -3 m'
_symmetry_Int_Tables_number 166
_symmetry_space_group_name_Hall '-R 3 2"'
loop_
_atom_site_label
_atom_site_fract_x
_atom_site_fract_y
_atom_site_fract_z
Dy1 0.0000 0.0000 0.0000
Tm1 0.0000 0.0000 0.2488
Sc1 0.0000 0.0000 0.5000
Tl1 0.0000 0.0000 0.1265
Tl2 0.0000 0.0000 0.3768
```

Peak list (8 most intense, 10 to 90 degrees two-theta, sorted by position)
33.91 deg, I = 100; 34.02 deg, I = 100; 48.80 deg, I = 36; 60.62 deg, I = 19; 60.84 deg, I = 57; 71.61 deg, I = 12; 81.47 deg, I = 16; 81.64 deg, I = 17